[1]
Diffraction record for Tl2ZnHg8. The powder diffractogram is computed, not measured: it uses a crystal structure in Alexandria, relaxed with GGA-PBE and Cu Kα X-rays.

Lattice parameters (Å, degrees): 4.8912 4.8912 12.4988 90.00 90.00 90.00
Space group P4/mmm (No. 123)
Asymmetric unit:
1 Tl 0.0000 0.0000 0.1841 (multiplicity 2)
2 Zn 0.0000 0.0000 0.5000 (multiplicity 1)
3 Hg 0.0000 0.5000 0.0000 (multiplicity 2)
4 Hg 0.0000 0.5000 0.3728 (multiplicity 4)
5 Hg 0.5000 0.5000 0.1907 (multiplicity 2)

Top 10 peaks for 2θ from 5° to 70°, sorted by position:
index  2θ (°)  I (rel.)
1 1 1  26.74  8
1 1 2  29.52  33
1 1 3  33.68  100
0 0 5  35.93  16
2 0 0  36.75  53
2 0 5  52.33  23
2 2 0  52.95  19
3 1 2  61.79  8
3 1 3  64.23  32
1 1 8  65.60  29

=====

[2]
Diffraction record for GaMo4S8. The powder diffractogram is computed, not measured: it uses a crystal structure in Alexandria, relaxed with GGA-PBE and Cu Kα X-rays.

Lattice parameters (Å, degrees): 9.8220 9.8220 9.8220 90.00 90.00 90.00
Space group F-43m (No. 216)
Asymmetric unit:
1 Ga 0.0000 0.0000 0.0000 (multiplicity 4)
2 Mo 0.1024 0.1024 0.3976 (multiplicity 16)
3 S 0.1334 0.1334 0.6334 (multiplicity 16)
4 S 0.1359 0.1359 0.1359 (multiplicity 16)

Top 10 peaks for 2θ from 5° to 70°, sorted by position:
index  2θ (°)  I (rel.)
1 1 1  15.63  95
2 0 0  18.06  46
2 2 0  25.65  21
3 1 1  30.18  100
4 0 0  36.60  89
3 3 1  40.01  45
4 2 2  45.23  49
5 1 1  48.14  88
4 4 0  52.72  80
5 5 1  68.18  19

=====

[3]
Diffraction record for Na8B11C5. The powder diffractogram is computed, not measured: it uses a crystal structure in Alexandria, relaxed with GGA-PBE and Cu Kα X-rays.

Lattice parameters (Å, degrees): 8.5791 5.6443 10.2527 90.00 90.00 90.00
Space group Amm2 (No. 38)
Asymmetric unit:
1 Na 0.2461 0.0000 0.9999 (multiplicity 4)
2 Na 0.2479 0.2496 0.2508 (multiplicity 8)
3 Na 0.2489 0.0000 0.5000 (multiplicity 4)
4 B 0.0000 0.0000 0.1651 (multiplicity 2)
5 B 0.0000 0.0000 0.6603 (multiplicity 2)
6 B 0.0000 0.0000 0.8293 (multiplicity 2)
7 B 0.0000 0.2415 0.4224 (multiplicity 4)
8 B 0.5000 0.0000 0.1745 (multiplicity 2)
9 B 0.5000 0.0000 0.3396 (multiplicity 2)
10 B 0.5000 0.0000 0.6745 (multiplicity 2)
11 B 0.5000 0.0000 0.8396 (multiplicity 2)
12 B 0.5000 0.2498 0.0681 (multiplicity 4)
13 C 0.0000 0.0000 0.3314 (multiplicity 2)
14 C 0.0000 0.2493 0.5816 (multiplicity 4)
15 C 0.5000 0.2500 0.4182 (multiplicity 4)

Top 10 peaks for 2θ from 5° to 70°, sorted by position:
index  2θ (°)  I (rel.)
2 0 0  20.71  1
0 0 4  35.01  8
0 2 2  36.34  12
2 0 4  41.02  36
4 0 0  42.17  100
4 0 4  55.90  4
4 2 2  56.83  7
0 2 6  63.66  13
0 4 0  66.23  6
2 2 6  67.72  1

=====

[4]
Diffraction record for Tb12Pm7Cd. The powder diffractogram is computed, not measured: it uses a crystal structure in Alexandria, relaxed with GGA-PBE and Cu Kα X-rays.

Lattice parameters (Å, degrees): 8.3218 9.3956 9.6281 75.91 66.11 76.03
Space group P-1 (No. 2)
Asymmetric unit:
1 Tb 0.0291 0.1595 0.0544 (multiplicity 2)
2 Tb 0.0940 0.7992 0.2632 (multiplicity 2)
3 Tb 0.1098 0.4672 0.1475 (multiplicity 2)
4 Tb 0.3411 0.0119 0.6945 (multiplicity 2)
5 Tb 0.3604 0.3384 0.4426 (multiplicity 2)
6 Tb 0.4249 0.6830 0.9263 (multiplicity 2)
7 Pm 0.1904 0.0846 0.3703 (multiplicity 2)
8 Pm 0.2292 0.7019 0.5794 (multiplicity 2)
9 Pm 0.3987 0.3586 0.7877 (multiplicity 2)
10 Pm 0.5000 0.0000 0.0000 (multiplicity 1)
11 Cd 0.0000 0.5000 0.5000 (multiplicity 1)

Top 10 peaks for 2θ from 5° to 70°, sorted by position:
index  2θ (°)  I (rel.)
2 0 -1  29.18  75
2 -1 2  29.51  77
1 3 0  30.27  97
1 2 3  30.70  100
0 1 -3  34.06  85
3 2 2  34.62  49
-1 3 1  35.36  37
3 3 -1  48.84  28
3 1 5  49.85  34
1 1 6  59.13  24

=====

Which formula does entry 3 have?
Na8B11C5

=====

Number 3 is which compound?
Na8B11C5